RbTlGe2Cl6: calculated powder diffractogram (Cu Ka), based on a cell relaxed with PBE.
No peak broadening, texture or thermal motion is included.

Main lines, low angle first (15° ≤ 2θ ≤ 90°):
16.07 deg, rel. 257, (0 2 1); 20.76 deg, rel. 1000, (0 0 2); 21.16 deg, rel. 157, (2 2 0); 22.60 deg, rel. 225, (2 2 -2); 23.16 deg, rel. 255, (3 1 -1); 26.62 deg, rel. 140, (3 1 0); 28.52 deg, rel. 139, (1 1 -3); 32.33 deg, rel. 197, (4 2 -2); 32.46 deg, rel. 188, (1 5 -1); 38.37 deg, rel. 226, (4 0 -4)

Crystal structure
```
data_RbTlGe2Cl6
_chemical_formula_sum 'Rb4 Tl4 Ge8 Cl24'
_space_group_name_H-M_alt 'C 1 2/c 1'
_space_group_IT_number 15
_cell_length_a 12.0569
_cell_length_b 14.4309
_cell_length_c 9.9902
_cell_angle_alpha 90.00
_cell_angle_beta 121.08
_cell_angle_gamma 90.00
loop_
_space_group_symop_operation_xyz
'x,y,z'
'-x,-y,-z'
'-x,y,-z+1/2'
'x,-y,z+1/2'
'x+1/2,y+1/2,z'
'-x+1/2,-y+1/2,-z'
'-x+1/2,y+1/2,-z+1/2'
'x+1/2,-y+1/2,z+1/2'
loop_
_atom_site_label
_atom_site_fract_x
_atom_site_fract_y
_atom_site_fract_z
Rb1 0.0000 0.1319 0.2500
Tl1 0.0000 0.2354 0.7500
Ge1 0.1586 0.4114 0.2096
Cl1 0.1122 0.0672 0.6634
Cl2 0.1627 0.3719 0.4384
Cl3 0.1695 0.2571 0.1308
```

NdTh2: calculated powder diffractogram (Cu Ka), based on a cell relaxed with PBE.
No peak broadening, texture or thermal motion is included.

Main lines, low angle first (15° ≤ 2θ ≤ 90°):
28.50 deg, rel. 128, (0 6 0); 28.65 deg, rel. 208, (1 3 0); 29.98 deg, rel. 400, (0 0 2); 32.29 deg, rel. 465, (0 6 1); 32.42 deg, rel. 1000, (1 3 1); 41.94 deg, rel. 151, (1 3 2); 50.56 deg, rel. 185, (1 9 0); 54.76 deg, rel. 340, (1 3 3); 59.90 deg, rel. 234, (1 9 2); 61.52 deg, rel. 151, (2 6 1)

Crystal structure
```
data_NdTh2
_chemical_formula_sum 'Nd4 Th8'
_space_group_name_H-M_alt 'C m c m'
_space_group_IT_number 63
_space_group_name_Hall '-C 2c 2'
_cell_length_a 3.5917
_cell_length_b 18.7930
_cell_length_c 5.9620
_cell_angle_alpha 90.00
_cell_angle_beta 90.00
_cell_angle_gamma 90.00
loop_
_atom_site_label
_atom_site_fract_x
_atom_site_fract_y
_atom_site_fract_z
Nd1 0.0000 0.2207 0.2500
Th1 0.0000 0.1058 0.7500
Th2 0.0000 0.4459 0.7500
```

Pr2Nd8In: calculated powder diffractogram (Cu Ka), based on a cell relaxed with PBE.
No peak broadening, texture or thermal motion is included.

Main lines, low angle first (15° ≤ 2θ ≤ 90°):
30.10 deg, rel. 1000, (5 1 -1); 34.77 deg, rel. 338, (4 0 -3); 35.14 deg, rel. 168, (0 2 0); 50.02 deg, rel. 60, (10 0 -2); 50.27 deg, rel. 238, (4 2 -3); 59.41 deg, rel. 141, (9 1 -4); 59.52 deg, rel. 139, (11 1 0); 59.96 deg, rel. 141, (5 3 -1); 62.57 deg, rel. 121, (10 2 -2); 81.77 deg, rel. 84, (9 3 -4)

Crystal structure
```
data_Pr2Nd8In
_chemical_formula_sum 'Pr4 Nd16 In2'
_space_group_name_H-M_alt 'C 1 2/m 1'
_space_group_IT_number 12
_cell_length_a 18.5897
_cell_length_b 5.1072
_cell_length_c 8.1688
_cell_angle_alpha 90.00
_cell_angle_beta 105.32
_cell_angle_gamma 90.00
loop_
_space_group_symop_operation_xyz
'x,y,z'
'-x,-y,-z'
'-x,y,-z'
'x,-y,z'
'x+1/2,y+1/2,z'
'-x+1/2,-y+1/2,-z'
'-x+1/2,y+1/2,-z'
'x+1/2,-y+1/2,z'
loop_
_atom_site_label
_atom_site_fract_x
_atom_site_fract_y
_atom_site_fract_z
Pr1 0.2239 0.0000 0.1350
Nd1 0.0435 0.0000 0.2289
Nd2 0.0888 0.5000 0.9404
Nd3 0.1355 0.0000 0.6760
Nd4 0.1773 0.5000 0.4084
In1 0.0000 0.5000 0.5000
```

Ni2Te6Ir: calculated powder diffractogram (Cu Ka), based on a cell relaxed with PBE.
No peak broadening, texture or thermal motion is included.

Main lines, low angle first (15° ≤ 2θ ≤ 90°):
27.36 deg, rel. 372, (2 0 -2); 28.17 deg, rel. 370, (1 3 1); 29.21 deg, rel. 218, (2 2 1); 32.74 deg, rel. 1000, (3 3 -1); 34.69 deg, rel. 194, (4 0 0); 37.71 deg, rel. 298, (2 0 2); 42.72 deg, rel. 263, (0 6 0); 44.33 deg, rel. 277, (4 2 1); 45.73 deg, rel. 425, (1 3 -3); 51.17 deg, rel. 238, (4 4 1)

Crystal structure
```
data_Ni2Te6Ir
_chemical_formula_sum 'Ni8 Te24 Ir4'
_space_group_name_H-M_alt 'C 1 2/c 1'
_space_group_IT_number 15
_cell_length_a 10.9912
_cell_length_b 12.6985
_cell_length_c 6.8040
_cell_angle_alpha 90.00
_cell_angle_beta 109.76
_cell_angle_gamma 90.00
loop_
_space_group_symop_operation_xyz
'x,y,z'
'-x,-y,-z'
'-x,y,-z+1/2'
'x,-y,z+1/2'
'x+1/2,y+1/2,z'
'-x+1/2,-y+1/2,-z'
'-x+1/2,y+1/2,-z+1/2'
'x+1/2,-y+1/2,z+1/2'
loop_
_atom_site_label
_atom_site_fract_x
_atom_site_fract_y
_atom_site_fract_z
Ni1 0.1233 0.0838 0.2381
Te1 0.0928 0.1018 0.5838
Te2 0.1326 0.4253 0.6613
Te3 0.1521 0.2789 0.1539
Ir1 0.0000 0.4112 0.2500
```

Ho6IrPd2: calculated powder diffractogram (Cu Ka), based on a cell relaxed with PBE.
No peak broadening, texture or thermal motion is included.

Main lines, low angle first (15° ≤ 2θ ≤ 90°):
29.29 deg, rel. 748, (1 2 0); 30.00 deg, rel. 500, (2 1 -2); 30.39 deg, rel. 904, (1 0 -4); 31.15 deg, rel. 1000, (2 1 -1); 32.82 deg, rel. 367, (1 1 -4); 33.14 deg, rel. 414, (1 2 1); 33.49 deg, rel. 365, (1 2 -3); 39.45 deg, rel. 570, (1 3 -1); 47.63 deg, rel. 397, (3 1 -5); 54.77 deg, rel. 533, (2 3 -5)

Crystal structure
```
data_Ho6IrPd2
_chemical_formula_sum 'Ho12 Ir2 Pd4'
_space_group_name_H-M_alt 'P 1 21/c 1'
_space_group_IT_number 14
_cell_length_a 6.5240
_cell_length_b 7.3158
_cell_length_c 11.8174
_cell_angle_alpha 90.00
_cell_angle_beta 122.19
_cell_angle_gamma 90.00
loop_
_space_group_symop_operation_xyz
'x,y,z'
'-x,-y,-z'
'-x,y+1/2,-z+1/2'
'x,-y+1/2,z+1/2'
loop_
_atom_site_label
_atom_site_fract_x
_atom_site_fract_y
_atom_site_fract_z
Ho1 0.0904 0.1832 0.4318
Ho2 0.2584 0.6751 0.4309
Ho3 0.4010 0.0412 0.2469
Ir1 0.5000 0.0000 0.5000
Pd1 0.1830 0.1158 0.7423
```

Dy6Cd3Ru: calculated powder diffractogram (Cu Ka), based on a cell relaxed with PBE.
No peak broadening, texture or thermal motion is included.

Main lines, low angle first (15° ≤ 2θ ≤ 90°):
29.07 deg, rel. 133, (1 1 -3); 31.74 deg, rel. 309, (2 1 -3); 33.11 deg, rel. 308, (2 0 -4); 33.92 deg, rel. 706, (0 2 0); 34.11 deg, rel. 714, (3 1 -1); 34.37 deg, rel. 1000, (1 1 3); 34.75 deg, rel. 196, (3 1 -2); 37.32 deg, rel. 215, (2 1 -4); 48.12 deg, rel. 182, (2 2 -4); 60.98 deg, rel. 195, (1 3 3)

Crystal structure
```
data_Dy6Cd3Ru
_chemical_formula_sum 'Dy12 Cd6 Ru2'
_space_group_name_H-M_alt 'P 1 21/m 1'
_space_group_IT_number 11
_cell_length_a 9.1027
_cell_length_b 5.2864
_cell_length_c 11.3844
_cell_angle_alpha 90.00
_cell_angle_beta 108.50
_cell_angle_gamma 90.00
loop_
_space_group_symop_operation_xyz
'x,y,z'
'-x,-y,-z'
'-x,y+1/2,-z'
'x,-y+1/2,z'
loop_
_atom_site_label
_atom_site_fract_x
_atom_site_fract_y
_atom_site_fract_z
Dy1 0.0344 0.2500 0.4148
Dy2 0.1917 0.7500 0.1639
Dy3 0.2808 0.2500 0.0023
Dy4 0.3483 0.7500 0.8325
Dy5 0.3788 0.2500 0.3463
Dy6 0.3901 0.2500 0.6501
Cd1 0.0066 0.7500 0.8697
Cd2 0.0826 0.2500 0.7196
Cd3 0.2705 0.7500 0.4729
Ru1 0.4631 0.7500 0.0938
```

Pu3Ge4: calculated powder diffractogram (Cu Ka), based on a cell relaxed with PBE.
No peak broadening, texture or thermal motion is included.

Main lines, low angle first (15° ≤ 2θ ≤ 90°):
24.93 deg, rel. 270, (2 0 -3); 26.53 deg, rel. 353, (1 1 -2); 30.02 deg, rel. 405, (2 0 -4); 30.08 deg, rel. 426, (2 0 4); 33.16 deg, rel. 1000, (3 1 0); 33.67 deg, rel. 296, (4 0 1); 34.47 deg, rel. 923, (1 1 4); 37.89 deg, rel. 290, (0 0 6); 38.33 deg, rel. 362, (3 1 -3); 44.53 deg, rel. 348, (0 2 0)

Crystal structure
```
data_Pu3Ge4
_chemical_formula_sum 'Pu12 Ge16'
_space_group_name_H-M_alt 'C 1 m 1'
_space_group_IT_number 8
_cell_length_a 10.8378
_cell_length_b 4.0692
_cell_length_c 14.2485
_cell_angle_alpha 90.00
_cell_angle_beta 90.22
_cell_angle_gamma 90.00
loop_
_space_group_symop_operation_xyz
'x,y,z'
'x,-y,z'
'x+1/2,y+1/2,z'
'x+1/2,-y+1/2,z'
loop_
_atom_site_label
_atom_site_fract_x
_atom_site_fract_y
_atom_site_fract_z
Pu1 0.0000 0.0000 0.0000
Pu2 0.0021 0.0000 0.3063
Pu3 0.1529 0.5000 0.6573
Pu4 0.2046 0.5000 0.1556
Pu5 0.3486 0.0000 0.8059
Pu6 0.3576 0.0000 0.5017
Ge1 0.0639 0.0000 0.7985
Ge2 0.0718 0.0000 0.5112
Ge3 0.1777 0.5000 0.9054
Ge4 0.1799 0.5000 0.4043
Ge5 0.2864 0.0000 0.0125
Ge6 0.2888 0.0000 0.2978
Ge7 0.4222 0.5000 0.6525
Ge8 0.4366 0.0000 0.1533
```

Pm3Sn4Pd2: calculated powder diffractogram (Cu Ka), based on a cell relaxed with PBE.
No peak broadening, texture or thermal motion is included.

Main lines, low angle first (15° ≤ 2θ ≤ 90°):
30.41 deg, rel. 482, (3 1 -1); 30.92 deg, rel. 246, (2 0 -3); 31.12 deg, rel. 1000, (3 1 0); 31.28 deg, rel. 444, (1 1 2); 31.55 deg, rel. 392, (0 0 3); 35.20 deg, rel. 168, (3 1 1); 38.64 deg, rel. 565, (0 2 0); 39.08 deg, rel. 687, (3 1 -3); 50.71 deg, rel. 208, (0 2 3); 65.27 deg, rel. 153, (3 3 0)

Crystal structure
```
data_Pm3Sn4Pd2
_chemical_formula_sum 'Pm6 Sn8 Pd4'
_space_group_name_H-M_alt 'C 1 2/m 1'
_space_group_IT_number 12
_cell_length_a 11.4715
_cell_length_b 4.6605
_cell_length_c 8.9061
_cell_angle_alpha 90.00
_cell_angle_beta 107.20
_cell_angle_gamma 90.00
loop_
_space_group_symop_operation_xyz
'x,y,z'
'-x,-y,-z'
'-x,y,-z'
'x,-y,z'
'x+1/2,y+1/2,z'
'-x+1/2,-y+1/2,-z'
'-x+1/2,y+1/2,-z'
'x+1/2,-y+1/2,z'
loop_
_atom_site_label
_atom_site_fract_x
_atom_site_fract_y
_atom_site_fract_z
Pm1 0.0000 0.0000 0.0000
Pm2 0.1318 0.5000 0.6890
Sn1 0.0799 0.0000 0.3910
Sn2 0.2047 0.5000 0.0740
Pd1 0.1934 0.5000 0.3745
```

DyPuAg2Te4: calculated powder diffractogram (Cu Ka), based on a cell relaxed with PBE.
No peak broadening, texture or thermal motion is included.

Main lines, low angle first (15° ≤ 2θ ≤ 90°):
26.90 deg, rel. 1000, (1 1 2); 31.53 deg, rel. 359, (0 2 2); 31.81 deg, rel. 344, (2 0 2); 33.16 deg, rel. 944, (2 2 0); 42.99 deg, rel. 290, (1 3 2); 43.42 deg, rel. 276, (3 1 2); 46.43 deg, rel. 300, (1 1 4); 47.20 deg, rel. 175, (0 4 0); 55.50 deg, rel. 159, (3 3 2); 58.06 deg, rel. 273, (1 3 4)

Crystal structure
```
data_DyPuAg2Te4
_chemical_formula_sum 'Dy2 Pu2 Ag4 Te8'
_space_group_name_H-M_alt 'I 2 2 2'
_space_group_IT_number 23
_cell_length_a 7.5821
_cell_length_b 7.7022
_cell_length_c 8.3927
_cell_angle_alpha 90.00
_cell_angle_beta 90.00
_cell_angle_gamma 90.00
loop_
_space_group_symop_operation_xyz
'x,y,z'
'-x,-y,z'
'x,-y,-z'
'-x,y,-z'
'x+1/2,y+1/2,z+1/2'
'-x+1/2,-y+1/2,z+1/2'
'x+1/2,-y+1/2,-z+1/2'
'-x+1/2,y+1/2,-z+1/2'
loop_
_atom_site_label
_atom_site_fract_x
_atom_site_fract_y
_atom_site_fract_z
Dy1 0.0000 0.0000 0.0000
Pu1 0.0000 0.0000 0.5000
Ag1 0.0000 0.5000 0.3318
Te1 0.2317 0.2394 0.8103
```

TbAl3B4O12: calculated powder diffractogram (Cu Ka), based on a cell relaxed with PBE.
No peak broadening, texture or thermal motion is included.

Main lines, low angle first (15° ≤ 2θ ≤ 90°):
16.32 deg, rel. 923, (1 0 1); 18.95 deg, rel. 578, (1 1 0); 25.11 deg, rel. 681, (0 2 1); 26.74 deg, rel. 308, (0 1 2); 31.64 deg, rel. 462, (2 1 1); 32.98 deg, rel. 1000, (2 0 2); 38.31 deg, rel. 452, (1 2 2); 41.76 deg, rel. 262, (1 1 3); 42.02 deg, rel. 390, (1 3 1); 54.32 deg, rel. 299, (2 2 3)

Crystal structure
```
data_TbAl3B4O12
_chemical_formula_sum 'Tb3 Al9 B12 O36'
_space_group_name_H-M_alt 'R 3 2'
_space_group_IT_number 155
_space_group_name_Hall 'R 3 2"'
_cell_length_a 9.3664
_cell_length_b 9.3664
_cell_length_c 7.3153
_cell_angle_alpha 90.00
_cell_angle_beta 90.00
_cell_angle_gamma 120.00
loop_
_atom_site_label
_atom_site_fract_x
_atom_site_fract_y
_atom_site_fract_z
Tb1 0.0000 0.0000 0.0000
Al1 0.0000 0.5553 0.0000
B1 0.0000 0.0000 0.5000
B2 0.0000 0.4433 0.5000
O1 0.0000 0.5916 0.5000
O2 0.0000 0.8514 0.5000
O3 0.0325 0.2167 0.1885
```

AcLaZn2Pd5: calculated powder diffractogram (Cu Ka), based on a cell relaxed with PBE.
No peak broadening, texture or thermal motion is included.

Main lines, low angle first (15° ≤ 2θ ≤ 90°):
27.85 deg, rel. 156, (1 0 2); 34.86 deg, rel. 1000, (1 1 2); 37.70 deg, rel. 130, (0 0 4); 40.94 deg, rel. 181, (1 1 3); 41.80 deg, rel. 428, (2 0 0); 43.31 deg, rel. 110, (1 0 4); 57.53 deg, rel. 153, (2 0 4); 60.59 deg, rel. 141, (2 2 0); 66.23 deg, rel. 132, (1 1 6); 71.84 deg, rel. 242, (3 1 2)

Crystal structure
```
data_AcLaZn2Pd5
_chemical_formula_sum 'Ac1 La1 Zn2 Pd5'
_space_group_name_H-M_alt 'P 4/m m m'
_space_group_IT_number 123
_space_group_name_Hall '-P 4 2'
_cell_length_a 4.3224
_cell_length_b 4.3224
_cell_length_c 9.5455
_cell_angle_alpha 90.00
_cell_angle_beta 90.00
_cell_angle_gamma 90.00
loop_
_atom_site_label
_atom_site_fract_x
_atom_site_fract_y
_atom_site_fract_z
Ac1 0.0000 0.0000 0.0000
La1 0.0000 0.0000 0.5000
Zn1 0.5000 0.5000 0.3690
Pd1 0.0000 0.5000 0.2299
Pd2 0.5000 0.5000 0.0000
```

Sm3Er4Tm: calculated powder diffractogram (Cu Ka), based on a cell relaxed with PBE.
No peak broadening, texture or thermal motion is included.

Main lines, low angle first (15° ≤ 2θ ≤ 90°):
26.62 deg, rel. 198, (1 0 1); 30.28 deg, rel. 548, (1 1 2); 30.89 deg, rel. 817, (0 4 0); 31.86 deg, rel. 1000, (0 2 4); 36.78 deg, rel. 314, (1 2 3); 37.58 deg, rel. 318, (1 3 2); 55.58 deg, rel. 206, (0 6 4); 62.43 deg, rel. 152, (2 4 0); 62.98 deg, rel. 286, (2 2 4); 80.20 deg, rel. 142, (2 6 4)

Crystal structure
```
data_Sm3Er4Tm
_chemical_formula_sum 'Sm6 Er8 Tm2'
_space_group_name_H-M_alt 'I m m m'
_space_group_IT_number 71
_space_group_name_Hall '-I 2 2'
_cell_length_a 3.4690
_cell_length_b 11.5714
_cell_length_c 12.8511
_cell_angle_alpha 90.00
_cell_angle_beta 90.00
_cell_angle_gamma 90.00
loop_
_atom_site_label
_atom_site_fract_x
_atom_site_fract_y
_atom_site_fract_z
Sm1 0.0000 0.0000 0.0000
Sm2 0.0000 0.5000 0.2432
Er1 0.0000 0.2450 0.3652
Tm1 0.0000 0.0000 0.5000
```